Calculated powder diffraction line list
Compound: YbPO4
Radiation: Cu Kα
Structure: a structure optimized by DFT (PBE)
Peak positions follow from Bragg's law for the DFT cell and can differ from measured ones.

Main lines, low angle first (15° ≤ 2θ ≤ 90°):
hkl	two_theta	Rel. int.
1 0 1	19.77	507
1 1 2	30.26	1000
0 0 4	31.50	182
2 0 0	36.76	208
2 1 1	42.08	242
1 2 3	48.05	192
2 0 4	49.17	271
1 3 2	62.22	246

Crystal structure
a = 4.890 Å, b = 4.890 Å, c = 11.359 Å
α = 90.00°, β = 90.00°, γ = 90.00°
Space group I4_1/a (No. 88, origin choice 2)
One atom of each set of equivalent atoms:
Yb 0.000 0.250 0.125 (multiplicity 4)
P 0.000 0.250 0.625 (multiplicity 4)
O 0.120 0.491 0.698 (multiplicity 16)